Entry 1:
For Mn2NiSb, a GGA-PBE-relaxed structure gives the simulated powder diffractogram in this record (Cu Kα).
Intensities are scaled so that the largest is 100.

Atomic structure:
abc: 4.2713 4.2713 4.2713
angles: 60.00 60.00 60.00
Sites, in units of the cell vectors:
Mn 0.0000 0.0000 0.0000
Mn 0.2500 0.2500 0.2500
Ni 0.7500 0.7500 0.7500
Sb 0.5000 0.5000 0.5000

The 10 most intense peaks (2θ from 10° to 90°), sorted by position:
| d/Å | Position (°2θ) | intensity |
| --- | --- | --- |
| 3.487 | 25.5 | 12 |
| 3.020 | 29.6 | 5 |
| 2.136 | 42.3 | 100 |
| 1.821 | 50.1 | 6 |
| 1.744 | 52.5 | 1 |
| 1.510 | 61.4 | 16 |
| 1.386 | 67.6 | 3 |
| 1.351 | 69.6 | 2 |
| 1.233 | 77.4 | 31 |
| 1.162 | 83.1 | 2 |

---

Entry 2:
For MnNiSb, a GGA-PBE-relaxed structure gives the simulated powder diffractogram in this record (Cu Kα).
Intensities are scaled so that the largest is 100.

Atomic structure:
abc: 4.1762 4.1762 4.1762
angles: 60.00 60.00 60.00
Sites, in units of the cell vectors:
Mn 0.0000 0.0000 0.0000
Ni 0.2500 0.2500 0.2500
Sb 0.5000 0.5000 0.5000

The 10 most intense peaks (2θ from 10° to 90°), sorted by position:
| d/Å | Position (°2θ) | intensity |
| --- | --- | --- |
| 3.410 | 26.1 | 38 |
| 2.953 | 30.3 | 29 |
| 2.088 | 43.3 | 100 |
| 1.781 | 51.3 | 18 |
| 1.705 | 53.8 | 7 |
| 1.477 | 62.9 | 16 |
| 1.355 | 69.4 | 7 |
| 1.321 | 71.4 | 9 |
| 1.206 | 79.5 | 31 |
| 1.137 | 85.4 | 6 |

---

Entry 3:
For ZrScMnNi3, a GGA-PBE-relaxed structure gives the simulated powder diffractogram in this record (Cu Kα).
Intensities are scaled so that the largest is 100.

Atomic structure:
abc: 4.9359 4.9359 4.9359
angles: 60.14 60.14 60.14
Sites, in units of the cell vectors:
Zr 0.0000 0.0000 0.0000
Sc 0.2505 0.2505 0.2505
Mn 0.6252 0.6252 0.6252
Ni 0.1257 0.6253 0.6253
Ni 0.6253 0.1257 0.6253
Ni 0.6253 0.6253 0.1257

The 12 most intense peaks (2θ from 10° to 90°), sorted by position:
| d/Å | Position (°2θ) | intensity |
| --- | --- | --- |
| 4.033 | 22.0 | 10 |
| 3.494 | 25.5 | 6 |
| 2.470 | 36.4 | 40 |
| 2.108 | 42.9 | 100 |
| 2.104 | 43.0 | 31 |
| 2.019 | 44.9 | 37 |
| 2.013 | 45.0 | 12 |
| 1.427 | 65.4 | 10 |
| 1.345 | 69.9 | 27 |
| 1.343 | 70.0 | 11 |
| 1.237 | 77.1 | 15 |
| 1.234 | 77.3 | 15 |

---

Entry 4:
For Mn4NiSe5, a GGA-PBE-relaxed structure gives the simulated powder diffractogram in this record (Cu Kα).
Intensities are scaled so that the largest is 100.

Atomic structure:
abc: 10.6578 10.6578 10.6578
angles: 160.99 154.43 32.05
Sites, in units of the cell vectors:
Mn 0.1209 0.1209 0.0000
Mn 0.3307 0.3307 0.0000
Mn 0.6693 0.6693 0.0000
Mn 0.8791 0.8791 0.0000
Ni 0.5000 0.5000 0.0000
Se 0.0000 0.5000 0.5000
Se 0.1996 0.6996 0.5000
Se 0.4170 0.9170 0.5000
Se 0.5830 0.0830 0.5000
Se 0.8004 0.3004 0.5000

The 12 most intense peaks (2θ from 10° to 90°), sorted by position:
| d/Å | Position (°2θ) | intensity |
| --- | --- | --- |
| 3.093 | 28.9 | 10 |
| 2.670 | 33.6 | 100 |
| 2.471 | 36.4 | 9 |
| 2.358 | 38.2 | 47 |
| 2.175 | 41.5 | 11 |
| 2.049 | 44.2 | 18 |
| 1.896 | 48.0 | 11 |
| 1.767 | 51.7 | 56 |
| 1.760 | 52.0 | 18 |
| 1.658 | 55.4 | 9 |
| 1.410 | 66.3 | 17 |
| 1.335 | 70.5 | 8 |

---

Entry 5:
For MnNiSe2, a GGA-PBE-relaxed structure gives the simulated powder diffractogram in this record (Cu Kα).
Intensities are scaled so that the largest is 100.

Atomic structure:
abc: 3.6386 3.6386 5.3262
angles: 90.00 90.00 120.00
Sites, in units of the cell vectors:
Mn 0.0000 0.0000 0.0000
Ni 0.0000 0.0000 0.5000
Se 0.3333 0.6667 0.2417
Se 0.6667 0.3333 0.7583

The 12 most intense peaks (2θ from 10° to 90°), sorted by position:
| d/Å | Position (°2θ) | intensity |
| --- | --- | --- |
| 3.151 | 28.3 | 7 |
| 2.712 | 33.0 | 100 |
| 2.663 | 33.7 | 1 |
| 2.034 | 44.5 | 89 |
| 1.819 | 50.1 | 61 |
| 1.547 | 59.8 | 17 |
| 1.511 | 61.4 | 16 |
| 1.502 | 61.8 | 1 |
| 1.356 | 69.3 | 22 |
| 1.332 | 70.8 | 7 |
| 1.178 | 81.7 | 7 |
| 1.162 | 83.1 | 14 |

---

Entry 6:
For MnSiNi, a GGA-PBE-relaxed structure gives the simulated powder diffractogram in this record (Cu Kα).
Intensities are scaled so that the largest is 100.

Atomic structure:
abc: 5.8380 3.5655 6.8925
angles: 90.00 90.00 90.00
Sites, in units of the cell vectors:
Mn 0.0316 0.2500 0.1730
Mn 0.4684 0.7500 0.6730
Mn 0.5316 0.2500 0.3270
Mn 0.9684 0.7500 0.8270
Si 0.2422 0.7500 0.3708
Si 0.2578 0.2500 0.8708
Si 0.7422 0.7500 0.1292
Si 0.7578 0.2500 0.6292
Ni 0.1434 0.2500 0.5586
Ni 0.3566 0.7500 0.0586
Ni 0.6434 0.2500 0.9414
Ni 0.8566 0.7500 0.4414

The 12 most intense peaks (2θ from 10° to 90°), sorted by position:
| d/Å | Position (°2θ) | intensity |
| --- | --- | --- |
| 2.784 | 32.2 | 17 |
| 2.281 | 39.5 | 100 |
| 2.259 | 39.9 | 61 |
| 2.146 | 42.1 | 78 |
| 2.138 | 42.3 | 38 |
| 1.931 | 47.1 | 38 |
| 1.873 | 48.6 | 31 |
| 1.834 | 49.7 | 28 |
| 1.783 | 51.2 | 46 |
| 1.695 | 54.1 | 18 |
| 1.369 | 68.5 | 17 |
| 1.213 | 78.9 | 25 |

---

Entry 7:
For MnSi2Ni, a GGA-PBE-relaxed structure gives the simulated powder diffractogram in this record (Cu Kα).
Intensities are scaled so that the largest is 100.

Atomic structure:
abc: 4.5091 4.5026 4.5198
angles: 90.00 90.88 90.00
Sites, in units of the cell vectors:
Mn 0.1377 0.0000 0.3906
Mn 0.8623 0.5000 0.6094
Si 0.1540 0.8043 0.9053
Si 0.3482 0.4872 0.4135
Si 0.6518 0.9872 0.5865
Si 0.8460 0.3043 0.0947
Ni 0.3583 0.2828 0.8945
Ni 0.6417 0.7828 0.1055

The 12 most intense peaks (2θ from 10° to 90°), sorted by position:
| d/Å | Position (°2θ) | intensity |
| --- | --- | --- |
| 3.188 | 28.0 | 40 |
| 2.617 | 34.3 | 17 |
| 2.591 | 34.6 | 28 |
| 2.257 | 39.9 | 15 |
| 2.032 | 44.6 | 51 |
| 2.016 | 45.0 | 100 |
| 2.015 | 45.0 | 98 |
| 2.007 | 45.2 | 45 |
| 1.851 | 49.2 | 48 |
| 1.844 | 49.4 | 26 |
| 1.833 | 49.7 | 69 |
| 1.202 | 79.8 | 26 |

---

Entry 8:
For MnSiNi2, a GGA-PBE-relaxed structure gives the simulated powder diffractogram in this record (Cu Kα).
Intensities are scaled so that the largest is 100.

Atomic structure:
abc: 2.7738 2.7738 6.1428
angles: 90.00 90.00 90.00
Sites, in units of the cell vectors:
Mn 0.0000 0.0000 0.0000
Si 0.0000 0.0000 0.5000
Ni 0.5000 0.5000 0.2832
Ni 0.5000 0.5000 0.7168

The 12 most intense peaks (2θ from 10° to 90°), sorted by position:
| d/Å | Position (°2θ) | intensity |
| --- | --- | --- |
| 2.774 | 32.3 | 6 |
| 2.528 | 35.5 | 13 |
| 2.059 | 44.0 | 100 |
| 2.048 | 44.2 | 6 |
| 1.961 | 46.3 | 48 |
| 1.536 | 60.3 | 7 |
| 1.416 | 66.0 | 7 |
| 1.387 | 67.5 | 14 |
| 1.209 | 79.2 | 11 |
| 1.150 | 84.2 | 27 |
| 1.148 | 84.3 | 3 |
| 1.123 | 86.7 | 6 |

---

Which formula does entry 8 have?
MnSiNi2